The following is a simulated powder diffractogram of PmTc2SnO8. It was derived from a crystal structure in Alexandria, relaxed with GGA-PBE, using Cu Kα (λ = 1.5418 Å).

Most intense lines, 2θ = 10–90°, by intensity:
2θ = 26.7°, I = 100; 2θ = 30.5°, I = 75; 2θ = 51.9°, I = 31; 2θ = 44.6°, I = 31; 2θ = 40.9°, I = 30; 2θ = 54.2°, I = 23; 2θ = 64.2°, I = 19; 2θ = 55.0°, I = 14; 2θ = 70.1°, I = 14; 2θ = 71.4°, I = 13

Atomic structure:
Cell lengths 6.8158, 6.8158, 6.8158 Å; angles 50.97, 50.97, 50.97 degrees
Positions (direct):
Pm 0.0000 0.0000 0.0000
Tc 0.2457 0.2457 0.2457
Tc 0.7543 0.7543 0.7543
Sn 0.5000 0.5000 0.5000
O 0.0515 0.6956 0.4459
O 0.1455 0.1455 0.1455
O 0.3044 0.5541 0.9485
O 0.4459 0.0515 0.6956
O 0.5541 0.9485 0.3044
O 0.6956 0.4459 0.0515
O 0.8545 0.8545 0.8545
O 0.9485 0.3044 0.5541